No. 1
Gd4C3: simulated powder X-ray diffraction pattern (λ = 1.5418 Å (Cu Kα)), based on the PBE geometry in OQMD.
Kinematic intensities with the Lorentz-polarization factor, no thermal factor.

Top 10 peaks for 2θ = 10–90°, in order of rising 2θ:
2theta, I_rel
27.42, 35.1
31.77, 100.0
35.64, 71.7
42.45, 30.1
53.98, 22.5
56.59, 13.5
59.13, 44.9
64.01, 27.0
77.67, 13.2
86.35, 10.7

Structure:
Lattice parameters (Å, degrees): 6.900 6.900 6.900 109.47 109.47 109.47
Sites, in units of the cell vectors:
Gd 0.000 0.409 0.500
Gd 0.000 0.909 0.500
Gd 0.091 0.091 0.091
Gd 0.409 0.500 0.000
Gd 0.500 0.000 0.409
Gd 0.500 0.000 0.909
Gd 0.591 0.591 0.591
Gd 0.909 0.500 0.000
C 0.125 0.750 0.875
C 0.250 0.625 0.375
C 0.375 0.250 0.625
C 0.625 0.375 0.250
C 0.750 0.875 0.125
C 0.875 0.125 0.750

=====

No. 2
GdH6C4NO9: simulated powder X-ray diffraction pattern (λ = 1.5418 Å (Cu Kα)), based on the PBE geometry in OQMD.
Kinematic intensities with the Lorentz-polarization factor, no thermal factor.

Top 10 peaks for 2θ = 10–90°, in order of rising 2θ:
2theta, I_rel
14.85, 94.3
15.06, 90.1
15.18, 100.0
17.83, 44.8
19.05, 68.8
21.21, 45.2
21.44, 34.7
27.26, 35.8
29.35, 38.1
39.77, 31.2

Structure:
Lattice parameters (Å, degrees): 7.626 5.884 11.908 90.00 128.53 90.00
Sites, in units of the cell vectors:
Gd 0.000 0.125 0.250
Gd 0.000 0.875 0.750
H 0.111 0.390 0.832
H 0.111 0.610 0.332
H 0.364 0.387 0.675
H 0.364 0.613 0.175
H 0.459 0.411 0.303
H 0.459 0.589 0.803
H 0.541 0.411 0.197
H 0.541 0.589 0.697
H 0.636 0.387 0.825
H 0.636 0.613 0.325
H 0.889 0.390 0.668
H 0.889 0.610 0.168
C 0.086 0.095 0.547
C 0.086 0.905 0.047
C 0.463 0.115 0.011
C 0.463 0.885 0.511
C 0.537 0.115 0.489
C 0.537 0.885 0.989
C 0.914 0.095 0.953
C 0.914 0.905 0.453
N 0.500 0.489 0.750
N 0.500 0.511 0.250
O 0.000 0.488 0.750
O 0.000 0.512 0.250
O 0.117 0.245 0.484
O 0.117 0.755 0.984
O 0.187 0.087 0.680
O 0.187 0.913 0.180
O 0.256 0.156 0.931
O 0.256 0.844 0.431
O 0.385 0.245 0.391
O 0.385 0.755 0.891
O 0.615 0.245 0.109
O 0.615 0.755 0.609
O 0.744 0.156 0.569
O 0.744 0.844 0.069
O 0.813 0.087 0.820
O 0.813 0.913 0.320
O 0.883 0.245 0.016
O 0.883 0.755 0.516

=====

No. 3
Gd2H4C5O13: simulated powder X-ray diffraction pattern (λ = 1.5418 Å (Cu Kα)), based on the PBE geometry in OQMD.
Kinematic intensities with the Lorentz-polarization factor, no thermal factor.

Top 10 peaks for 2θ = 10–90°, in order of rising 2θ:
2theta, I_rel
11.87, 50.3
15.81, 100.0
18.00, 33.0
20.29, 39.3
21.93, 26.7
22.57, 35.6
25.02, 30.3
31.10, 19.4
31.69, 20.7
31.92, 19.7

Structure:
Lattice parameters (Å, degrees): 5.720 8.024 12.548 71.36 89.61 77.87
Sites, in units of the cell vectors:
Gd 0.030 0.440 0.281
Gd 0.303 0.832 0.072
Gd 0.697 0.168 0.928
Gd 0.970 0.560 0.719
H 0.221 0.819 0.560
H 0.369 0.675 0.330
H 0.396 0.804 0.661
H 0.497 0.530 0.631
H 0.503 0.470 0.369
H 0.604 0.196 0.339
H 0.631 0.325 0.670
H 0.779 0.181 0.440
C 0.050 0.179 0.142
C 0.085 0.406 0.527
C 0.224 0.220 0.851
C 0.248 0.073 0.238
C 0.432 0.443 0.047
C 0.568 0.557 0.953
C 0.752 0.927 0.762
C 0.776 0.780 0.149
C 0.915 0.594 0.473
C 0.950 0.821 0.858
O 0.003 0.249 0.817
O 0.028 0.110 0.065
O 0.079 0.676 0.854
O 0.098 0.292 0.475
O 0.195 0.381 0.618
O 0.282 0.745 0.636
O 0.301 0.159 0.301
O 0.303 0.522 0.107
O 0.329 0.354 0.824
O 0.336 0.912 0.246
O 0.343 0.551 0.351
O 0.345 0.064 0.911
O 0.457 0.279 0.056
O 0.543 0.721 0.944
O 0.655 0.936 0.089
O 0.657 0.449 0.649
O 0.664 0.088 0.754
O 0.671 0.646 0.176
O 0.697 0.478 0.893
O 0.699 0.841 0.699
O 0.718 0.255 0.364
O 0.805 0.619 0.382
O 0.902 0.708 0.525
O 0.921 0.324 0.146
O 0.972 0.890 0.935
O 0.997 0.751 0.183

=====

No. 4
GdHC3O6: simulated powder X-ray diffraction pattern (λ = 1.5418 Å (Cu Kα)), based on the PBE geometry in OQMD.
Kinematic intensities with the Lorentz-polarization factor, no thermal factor.

Top 10 peaks for 2θ = 10–90°, in order of rising 2θ:
2theta, I_rel
15.89, 100.0
16.80, 80.3
20.40, 73.4
30.08, 23.8
30.26, 29.1
33.97, 25.1
34.65, 65.7
36.29, 21.6
38.88, 22.9
46.00, 27.0

Structure:
Lattice parameters (Å, degrees): 6.965 10.557 6.568 90.00 90.00 90.00
Sites, in units of the cell vectors:
Gd 0.200 0.250 0.134
Gd 0.300 0.750 0.634
Gd 0.700 0.250 0.366
Gd 0.800 0.750 0.866
H 0.217 0.750 0.124
H 0.283 0.250 0.624
H 0.717 0.750 0.376
H 0.783 0.250 0.876
C 0.096 0.520 0.952
C 0.096 0.980 0.952
C 0.125 0.250 0.631
C 0.375 0.750 0.131
C 0.404 0.020 0.452
C 0.404 0.480 0.452
C 0.596 0.520 0.548
C 0.596 0.980 0.548
C 0.625 0.250 0.869
C 0.875 0.750 0.369
C 0.904 0.020 0.048
C 0.904 0.480 0.048
O 0.033 0.250 0.463
O 0.048 0.250 0.804
O 0.089 0.623 0.850
O 0.089 0.877 0.850
O 0.242 0.047 0.978
O 0.242 0.453 0.978
O 0.258 0.547 0.478
O 0.258 0.953 0.478
O 0.411 0.123 0.350
O 0.411 0.377 0.350
O 0.452 0.750 0.304
O 0.467 0.750 0.963
O 0.533 0.250 0.037
O 0.548 0.250 0.696
O 0.589 0.623 0.650
O 0.589 0.877 0.650
O 0.742 0.047 0.522
O 0.742 0.453 0.522
O 0.758 0.547 0.022
O 0.758 0.953 0.022
O 0.911 0.123 0.150
O 0.911 0.377 0.150
O 0.952 0.750 0.196
O 0.967 0.750 0.537

=====

No. 5
GdH9C8O8: simulated powder X-ray diffraction pattern (λ = 1.5418 Å (Cu Kα)), based on the PBE geometry in OQMD.
Kinematic intensities with the Lorentz-polarization factor, no thermal factor.

Top 10 peaks for 2θ = 10–90°, in order of rising 2θ:
2theta, I_rel
11.09, 46.5
14.96, 96.1
15.11, 63.9
15.92, 100.0
22.72, 44.6
23.62, 91.7
29.65, 46.4
29.96, 54.8
32.19, 41.4
35.48, 39.2

Structure:
Lattice parameters (Å, degrees): 6.152 8.120 9.587 92.07 101.65 99.93
Sites, in units of the cell vectors:
Gd 0.036 0.312 0.111
Gd 0.964 0.688 0.889
H 0.115 0.297 0.643
H 0.120 0.653 0.580
H 0.171 0.019 0.541
H 0.207 0.488 0.433
H 0.222 0.291 0.424
H 0.336 0.985 0.891
H 0.382 0.684 0.599
H 0.442 0.814 0.892
H 0.464 0.072 0.373
H 0.536 0.928 0.627
H 0.558 0.186 0.108
H 0.618 0.316 0.401
H 0.664 0.015 0.109
H 0.778 0.709 0.576
H 0.793 0.512 0.567
H 0.829 0.981 0.459
H 0.880 0.347 0.420
H 0.885 0.703 0.357
C 0.114 0.932 0.181
C 0.277 0.255 0.670
C 0.306 0.101 0.616
C 0.314 0.854 0.235
C 0.338 0.692 0.186
C 0.407 0.524 0.812
C 0.454 0.361 0.763
C 0.490 0.951 0.335
C 0.510 0.049 0.665
C 0.546 0.639 0.237
C 0.593 0.476 0.188
C 0.662 0.308 0.814
C 0.686 0.146 0.765
C 0.694 0.899 0.384
C 0.723 0.745 0.330
C 0.886 0.068 0.819
O 0.051 0.143 0.916
O 0.117 0.079 0.235
O 0.154 0.377 0.373
O 0.178 0.595 0.091
O 0.202 0.535 0.801
O 0.244 0.662 0.526
O 0.322 0.869 0.918
O 0.433 0.349 0.145
O 0.567 0.651 0.855
O 0.678 0.131 0.082
O 0.756 0.338 0.474
O 0.798 0.465 0.199
O 0.822 0.405 0.909
O 0.846 0.623 0.627
O 0.883 0.921 0.765
O 0.949 0.857 0.084